Structure and theoretical XRD peak list of SrNbNO (a crystal structure in OQMD, relaxed with PBE; Cu Kα, 1.54184 Å).
Intensities are scaled so that the largest is 100.

Crystal structure
a = 8.614 Å, b = 6.221 Å, c = 4.597 Å
α = 90.00°, β = 90.00°, γ = 90.00°
Space group Pbcm (No. 57)
Asymmetric unit:
Sr: 0.142 0.072 0.250 x4
Nb: 0.401 0.589 0.250 x4
N: 0.396 0.582 0.750 x4
O: 0.152 0.517 0.250 x4

Most intense lines, 2θ = 10–90°, low angle first:
(hkl), 2theta, I/Imax
2 1 0, 25.15, 48
0 2 0, 28.70, 30
2 1 1, 31.90, 100
0 2 1, 34.82, 53
0 0 2, 39.19, 40
4 0 0, 41.95, 23
2 3 0, 48.74, 31
2 3 2, 64.24, 26

Structure and theoretical XRD peak list of AlPt (a crystal structure in OQMD, relaxed with PBE; Cu Kα, 1.54184 Å).
Intensities are scaled so that the largest is 100.

Crystal structure
a = 4.914 Å, b = 4.914 Å, c = 4.914 Å
α = 90.00°, β = 90.00°, γ = 90.00°
Space group P2_13 (No. 198)
Asymmetric unit:
Al: 0.094 0.406 0.594 x4
Pt: 0.095 0.905 0.405 x4

Most intense lines, 2θ = 10–90°, low angle first:
(hkl), 2theta, I/Imax
1 1 0, 25.63, 56
1 1 1, 31.53, 39
2 0 0, 36.57, 13
2 0 1, 41.07, 100
2 1 1, 45.19, 41
3 1 0, 59.48, 18
3 0 2, 68.89, 15
3 2 1, 71.88, 33

Structure and theoretical XRD peak list of K3NiCl6 (a crystal structure in OQMD, relaxed with PBE; Cu Kα, 1.54184 Å).
Intensities are scaled so that the largest is 100.

Crystal structure
a = 10.355 Å, b = 10.355 Å, c = 10.355 Å
α = 90.00°, β = 90.00°, γ = 90.00°
Space group Fm-3m (No. 225)
Asymmetric unit:
K: 0.000 0.000 0.000 x4
K: 0.250 0.250 0.250 x8
Ni: 0.000 0.000 0.500 x4
Cl: 0.000 0.000 0.278 x24

Most intense lines, 2θ = 10–90°, low angle first:
(hkl), 2theta, I/Imax
1 1 1, 14.82, 31
2 0 0, 17.13, 44
2 2 0, 24.31, 54
2 2 2, 29.89, 44
4 0 0, 34.65, 100
4 2 2, 42.78, 17
4 4 0, 49.81, 57
8 4 0, 83.50, 18

Structure and theoretical XRD peak list of BaLa2CoS5 (a crystal structure in OQMD, relaxed with PBE; Cu Kα, 1.54184 Å).
Intensities are scaled so that the largest is 100.

Crystal structure
a = 7.968 Å, b = 7.968 Å, c = 13.495 Å
α = 90.00°, β = 90.00°, γ = 90.00°
Space group I4/mcm (No. 140)
Asymmetric unit:
Ba: 0.000 0.000 0.250 x4
La: 0.164 0.336 0.000 x8
Co: 0.000 0.500 0.250 x4
S: 0.000 0.000 0.000 x4
S: 0.146 0.354 0.362 x16

Most intense lines, 2θ = 10–90°, low angle first:
(hkl), 2theta, I/Imax
2 1 1, 25.86, 38
2 0 2, 25.97, 79
0 0 4, 26.42, 33
2 2 0, 31.76, 26
2 1 3, 32.04, 100
3 1 0, 35.63, 43
2 1 5, 41.99, 33
4 0 2, 47.57, 27

Structure and theoretical XRD peak list of Sm2DyCo2B2N3 (a crystal structure in OQMD, relaxed with PBE; Cu Kα, 1.54184 Å).
Intensities are scaled so that the largest is 100.

Crystal structure
a = 3.535 Å, b = 3.535 Å, c = 19.807 Å
α = 90.00°, β = 90.00°, γ = 90.00°
Space group I4/mmm (No. 139)
Asymmetric unit:
Sm: 0.000 0.000 0.126 x4
Dy: 0.000 0.000 0.500 x2
Co: 0.000 0.500 0.250 x4
B: 0.000 0.000 0.305 x4
N: 0.000 0.000 0.000 x2
N: 0.000 0.000 0.381 x4

Most intense lines, 2θ = 10–90°, low angle first:
(hkl), 2theta, I/Imax
1 0 3, 28.65, 100
1 0 5, 33.99, 73
1 1 0, 35.93, 40
0 0 8, 36.28, 47
1 1 2, 37.10, 39
1 1 4, 40.42, 28
2 0 0, 51.72, 36
2 0 8, 64.81, 33

Structure and theoretical XRD peak list of RbPaCl6 (a crystal structure in OQMD, relaxed with PBE; Cu Kα, 1.54184 Å).
Intensities are scaled so that the largest is 100.

Crystal structure
a = 7.1267 Å, b = 7.1267 Å, c = 19.6497 Å
α = 90.00°, β = 90.00°, γ = 120.00°
Space group R-3m (No. 166, hexagonal axes)
Asymmetric unit:
Rb: 0.0000 0.0000 0.0000 x3
Pa: 0.0000 0.0000 0.5000 x3
Cl: 0.0021 0.5011 0.9092 x18

Most intense lines, 2θ = 10–90°, low angle first:
(hkl), 2theta, I/Imax
1 0 1, 15.05, 69
0 1 2, 16.97, 100
1 0 4, 23.14, 84
1 1 0, 24.99, 29
2 0 2, 30.36, 53
1 1 6, 37.29, 54
1 2 2, 39.71, 26
2 1 4, 42.92, 32

Structure and theoretical XRD peak list of Cu3As (a crystal structure in OQMD, relaxed with PBE; Cu Kα, 1.54184 Å).
Intensities are scaled so that the largest is 100.

Crystal structure
a = 7.1538 Å, b = 7.1538 Å, c = 7.3975 Å
α = 90.00°, β = 90.00°, γ = 120.00°
Space group P-3c1 (No. 165)
Asymmetric unit:
Cu: 0.0000 0.0000 0.2500 x2
Cu: 0.0545 0.3706 0.4191 x12
Cu: 0.3333 0.6667 0.1525 x4
As: 0.0000 0.3369 0.7500 x6

Most intense lines, 2θ = 10–90°, low angle first:
(hkl), 2theta, I/Imax
0 2 2, 37.89, 27
2 1 1, 40.40, 21
3 0 0, 43.84, 100
1 1 3, 44.63, 95
2 1 2, 45.87, 15
2 2 3, 64.35, 20
3 2 2, 71.05, 11
4 1 3, 81.13, 15

Structure and theoretical XRD peak list of Ga2FeSe3S (a crystal structure in OQMD, relaxed with PBE; Cu Kα, 1.54184 Å).
Intensities are scaled so that the largest is 100.

Crystal structure
a = 5.569 Å, b = 5.599 Å, c = 6.643 Å
α = 65.08°, β = 65.46°, γ = 89.22°
Space group P1 (No. 1)
Asymmetric unit:
Ga: 0.000 0.000 0.000 x1
Ga: 0.242 0.753 0.493 x1
Fe: 0.755 0.242 0.489 x1
Se: 0.382 0.856 0.757 x1
Se: 0.622 0.620 0.230 x1
Se: 0.852 0.378 0.756 x1
S: 0.117 0.120 0.247 x1

Most intense lines, 2θ = 10–90°, low angle first:
(hkl), 2theta, I/Imax
1 1 0, 27.73, 57
-1 1 1, 28.11, 100
1 -1 1, 28.21, 50
2 2 2, 45.65, 26
2 -2 0, 46.30, 24
0 2 -1, 46.69, 48
0 2 3, 47.04, 23
2 0 3, 47.28, 22

Structure and theoretical XRD peak list of CuAg4 (a crystal structure in OQMD, relaxed with PBE; Cu Kα, 1.54184 Å).
Intensities are scaled so that the largest is 100.

Crystal structure
a = 19.836 Å, b = 2.926 Å, c = 5.878 Å
α = 90.00°, β = 98.78°, γ = 90.00°
Space group C2/m (No. 12)
Asymmetric unit:
Cu: 0.204 0.000 0.086 x4
Ag: 0.000 0.000 0.000 x2
Ag: 0.000 0.000 0.500 x2
Ag: 0.104 0.500 0.810 x4
Ag: 0.109 0.500 0.299 x4
Ag: 0.206 0.000 0.621 x4

Most intense lines, 2θ = 10–90°, low angle first:
(hkl), 2theta, I/Imax
6 0 -2, 38.19, 34
5 1 0, 38.38, 100
1 1 -2, 43.65, 47
10 0 0, 46.32, 18
11 1 -2, 65.41, 12
9 1 2, 65.64, 11
6 2 -2, 76.63, 15
10 2 0, 82.19, 9

Structure and theoretical XRD peak list of HoEr2Mg3ZnIn2 (a crystal structure in OQMD, relaxed with PBE; Cu Kα, 1.54184 Å).
Intensities are scaled so that the largest is 100.

Crystal structure
a = 4.537 Å, b = 12.910 Å, c = 7.440 Å
α = 90.00°, β = 90.00°, γ = 90.00°
Space group Amm2 (No. 38)
Asymmetric unit:
Ho: 0.000 0.000 0.000 x2
Er: 0.000 0.208 0.625 x4
Mg: 0.500 0.000 0.653 x2
Mg: 0.500 0.118 0.298 x4
Zn: 0.000 0.000 0.418 x2
In: 0.500 0.167 0.916 x4

Most intense lines, 2θ = 10–90°, low angle first:
(hkl), 2theta, I/Imax
0 2 0, 13.73, 25
0 3 1, 23.90, 31
1 0 2, 31.07, 100
1 2 2, 34.11, 94
0 5 1, 36.88, 25
2 0 0, 39.73, 27
0 3 3, 42.05, 34
1 2 4, 55.20, 26